Diffraction record for Li4Mn3V3Cr2O16. The PXRD pattern is calculated, not measured: it uses a GGA+U-relaxed structure and λ = 1.5418 Å (Cu Kα).
Lines closer than 0.1° are merged.

Principal peaks in the range 10 to 80 degrees two-theta, in order of rising 2θ:
2θ 18.5, I 100
2θ 19.4, I 63
2θ 19.7, I 49
2θ 19.8, I 58
2θ 36.1, I 54
2θ 36.4, I 41

Cell and atoms:
Cell lengths 5.897, 5.917, 9.584 Å; angles 90.66, 90.99, 119.77 degrees
Sites, in units of the cell vectors:
Li: 0.000 0.000 0.000
Li: 0.020 0.001 0.500
Li: 0.346 0.676 0.598
Li: 0.683 0.344 0.100
Mn: 0.190 0.836 0.280
Mn: 0.191 0.343 0.283
Mn: 0.349 0.179 0.784
V: 0.685 0.836 0.282
V: 0.841 0.671 0.780
V: 0.842 0.176 0.781
Cr: 0.345 0.677 0.012
Cr: 0.686 0.338 0.510
O: 0.020 0.012 0.686
O: 0.027 0.009 0.186
O: 0.059 0.527 0.157
O: 0.146 0.818 0.897
O: 0.157 0.330 0.897
O: 0.339 0.163 0.397
O: 0.348 0.672 0.386
O: 0.488 0.972 0.159
O: 0.530 0.562 0.148
O: 0.544 0.053 0.656
O: 0.558 0.512 0.649
O: 0.675 0.342 0.889
O: 0.675 0.845 0.886
O: 0.821 0.136 0.397
O: 0.861 0.677 0.387
O: 0.978 0.486 0.657